Calculated XRD peak list
Compound: Ti5PtC
Radiation: a wavelength of 1.5418 Å
Structure: a GGA-PBE-relaxed structure
Intensities are scaled so that the largest is 100.

Structure:
```
Ti5PtC
1.0
4.7046 -2.8463 0.0000
4.7046 2.8463 0.0000
-3.9813 0.0000 7.9592
Ti Pt C
10 2 2
Cartesian
1.7187 2.7520 5.9694
-0.4983 1.0643 4.9018
-0.3119 1.0810 7.5830
1.4923 -1.0643 0.9222
3.7492 1.0810 4.3558
1.6788 -1.0810 3.6034
3.9357 1.0643 7.0370
5.7398 -1.0810 0.3762
5.9263 -1.0643 3.0574
3.7093 -2.7520 1.9898
3.7093 0.0446 1.9898
1.7187 -0.0446 5.9694
0.0000 0.0000 0.0000
-1.9906 0.0000 3.9796
```

Peak list (12 most intense, 5 to 70 degrees two-theta, low angle first)
18.82 deg, I = 100; 21.11 deg, I = 49; 22.34 deg, I = 30; 22.88 deg, I = 29; 25.41 deg, I = 59; 37.41 deg, I = 52; 38.17 deg, I = 79; 38.43 deg, I = 62; 38.90 deg, I = 67; 39.23 deg, I = 64; 40.56 deg, I = 63; 57.41 deg, I = 36

***

Calculated XRD peak list
Compound: Pm5Sb4
Radiation: a wavelength of 1.5418 Å
Structure: a GGA-PBE-relaxed structure
Intensities are scaled so that the largest is 100.

Structure:
```
Pm5Sb4
1.0
-6.2500 6.2500 2.1840
6.2500 -6.2500 2.1840
6.2500 6.2500 -2.1840
Pm Sb
5 4
Cartesian
0.0000 0.0000 0.0000
7.5000 3.4466 0.0000
3.4466 5.0000 0.0000
2.8034 1.2500 2.1840
-1.2500 2.8034 2.1840
9.5636 1.1166 0.0000
1.1166 2.9364 0.0000
5.1334 3.3136 2.1840
-3.3136 5.1334 2.1840
```

Peak list (12 most intense, 5 to 70 degrees two-theta, low angle first)
10.01 deg, I = 75; 14.17 deg, I = 16; 25.89 deg, I = 100; 32.02 deg, I = 71; 32.99 deg, I = 96; 36.06 deg, I = 61; 41.34 deg, I = 27; 43.44 deg, I = 15; 44.19 deg, I = 17; 48.99 deg, I = 18; 53.23 deg, I = 34; 67.52 deg, I = 29

***

Calculated XRD peak list
Compound: ZrRh5
Radiation: a wavelength of 1.5418 Å
Structure: a GGA-PBE-relaxed structure
Intensities are scaled so that the largest is 100.

Structure:
```
ZrRh5
1.0
0.0000 3.6269 3.6269
3.6269 0.0000 3.6269
3.6269 3.6269 0.0000
Zr Rh
1 5
Cartesian
0.0000 0.0000 0.0000
4.5280 2.7258 2.7258
1.8135 1.8135 1.8135
2.7258 4.5280 2.7258
2.7258 2.7258 4.5280
4.5280 4.5280 4.5280
```

Peak list (8 most intense, 5 to 70 degrees two-theta, low angle first)
21.21 deg, I = 8; 34.99 deg, I = 25; 41.28 deg, I = 100; 43.20 deg, I = 42; 50.32 deg, I = 6; 55.19 deg, I = 2; 62.75 deg, I = 9; 67.04 deg, I = 31

***

Calculated XRD peak list
Compound: Th4H15
Radiation: a wavelength of 1.5418 Å
Structure: a GGA-PBE-relaxed structure
Intensities are scaled so that the largest is 100.

Structure:
```
Th4H15
1.0
-4.5378 4.5378 4.5378
4.5378 -4.5378 4.5378
4.5378 4.5378 -4.5378
Th H
8 30
Cartesian
4.1640 0.3738 -0.3738
6.4329 -1.8951 1.8951
0.3738 0.3738 0.3738
0.3738 -0.3738 4.1640
-0.3738 4.1640 0.3738
1.8951 6.4329 -1.8951
2.6427 2.6427 2.6427
-1.8951 1.8951 6.4329
4.2827 -1.1233 1.4290
5.3776 3.3922 -2.5240
4.5378 -2.2689 3.4033
5.6834 2.0138 -0.8399
5.9668 0.2551 1.1233
3.3922 2.5240 -0.8399
2.5240 0.8399 1.1456
3.4033 4.5378 -2.2689
2.5240 -0.8399 3.3922
3.3922 -2.5240 5.3776
1.4290 4.2827 -1.1233
1.1456 2.5240 0.8399
4.5378 2.2689 1.1344
0.8399 1.1456 2.5240
4.2827 1.1233 3.1088
2.0138 -0.8399 5.6834
3.1088 4.2827 1.1233
2.2689 1.1344 4.5378
-1.1233 1.4290 4.2827
-0.8399 3.3922 2.5240
1.1233 5.9668 0.2551
4.7929 3.4145 3.1088
1.1344 4.5378 2.2689
0.2551 1.1233 5.9668
1.1233 3.1088 4.2827
-0.8399 5.6834 2.0138
3.4145 3.1088 4.7929
-2.2689 3.4033 4.5378
3.1088 4.7929 3.4145
-2.5240 5.3776 3.3922
```

Peak list (12 most intense, 5 to 70 degrees two-theta, low angle first)
24.02 deg, I = 31; 27.80 deg, I = 100; 31.16 deg, I = 48; 37.06 deg, I = 20; 39.73 deg, I = 9; 46.96 deg, I = 23; 49.18 deg, I = 15; 51.33 deg, I = 38; 55.45 deg, I = 27; 59.38 deg, I = 9; 63.15 deg, I = 7; 66.80 deg, I = 12

***

Calculated XRD peak list
Compound: Rb2PmOsO6
Radiation: a wavelength of 1.5418 Å
Structure: a GGA-PBE-relaxed structure
Intensities are scaled so that the largest is 100.

Structure:
```
Rb2PmOsO6
1.0
0.0000 4.2664 4.2664
4.2664 0.0000 4.2664
4.2664 4.2664 0.0000
Rb Pm Os O
2 1 1 6
Cartesian
2.1332 2.1332 2.1332
6.3996 6.3996 6.3996
0.0000 0.0000 0.0000
4.2664 4.2664 4.2664
4.2664 4.2664 2.3554
4.2664 2.3554 4.2664
6.1774 4.2664 4.2664
2.3554 4.2664 4.2664
4.2664 6.1774 4.2664
4.2664 4.2664 6.1774
```

Peak list (12 most intense, 5 to 70 degrees two-theta, low angle first)
18.01 deg, I = 3; 20.82 deg, I = 20; 29.61 deg, I = 100; 34.87 deg, I = 1; 36.48 deg, I = 1; 42.37 deg, I = 29; 47.66 deg, I = 8; 52.54 deg, I = 40; 56.00 deg, I = 1; 61.47 deg, I = 18; 65.65 deg, I = 4; 69.70 deg, I = 19

***

Calculated XRD peak list
Compound: Tl3Hg4Bi
Radiation: a wavelength of 1.5418 Å
Structure: a GGA-PBE-relaxed structure
Intensities are scaled so that the largest is 100.

Structure:
```
Tl3Hg4Bi
1.0
-1.6141 5.3457 6.9573
1.6141 -5.3457 6.9573
1.6141 5.3457 -6.9573
Tl Hg Bi
3 4 1
Cartesian
0.0000 0.0000 0.0000
1.6141 0.0000 3.7740
0.0000 5.3457 3.1834
1.6141 2.5087 -1.7445
1.6141 2.5087 1.7445
0.0000 2.8370 5.2128
0.0000 2.8370 8.7018
0.0000 0.0000 6.9573
```

Peak list (12 most intense, 5 to 70 degrees two-theta, low angle first)
28.38 deg, I = 14; 30.66 deg, I = 100; 31.68 deg, I = 52; 33.05 deg, I = 25; 33.53 deg, I = 40; 37.90 deg, I = 25; 39.84 deg, I = 26; 53.03 deg, I = 12; 58.16 deg, I = 17; 63.87 deg, I = 12; 66.16 deg, I = 28; 67.83 deg, I = 12

***

Calculated XRD peak list
Compound: Tl8InHg4
Radiation: a wavelength of 1.5418 Å
Structure: a GGA-PBE-relaxed structure
Intensities are scaled so that the largest is 100.

Structure:
```
Tl8InHg4
1.0
5.1914 0.0000 0.0000
-2.4029 5.0901 0.0000
-0.6269 -0.7357 14.3994
Tl In Hg
8 1 4
Cartesian
-0.0384 0.4652 1.6367
-0.2992 1.5023 8.2857
-0.4304 1.9859 11.7174
0.0211 4.2594 3.9125
2.1405 0.0950 10.4869
2.5920 2.3685 2.6820
2.4608 2.8521 6.1137
2.2000 3.8892 12.7627
2.2822 -0.3678 7.1997
-0.1471 1.0064 4.9580
0.1180 3.5777 0.5665
2.0436 0.7767 13.8329
2.3087 3.3480 9.4414
```

Peak list (12 most intense, 5 to 70 degrees two-theta, low angle first)
31.22 deg, I = 97; 31.47 deg, I = 100; 32.27 deg, I = 93; 32.56 deg, I = 88; 34.61 deg, I = 78; 35.02 deg, I = 73; 41.02 deg, I = 46; 48.57 deg, I = 29; 51.51 deg, I = 25; 54.38 deg, I = 20; 54.98 deg, I = 21; 55.06 deg, I = 37

***

Calculated XRD peak list
Compound: SrLaTlAg
Radiation: a wavelength of 1.5418 Å
Structure: a GGA-PBE-relaxed structure
Intensities are scaled so that the largest is 100.

Structure:
```
SrLaTlAg
1.0
3.8984 0.0000 0.0000
0.0000 3.8984 0.0000
0.0000 0.0000 8.1721
Sr La Tl Ag
1 1 1 1
Cartesian
0.0000 0.0000 0.0000
0.0000 0.0000 4.2739
1.9492 1.9492 2.2337
1.9492 1.9492 6.1072
```

Peak list (12 most intense, 5 to 70 degrees two-theta, low angle first)
10.83 deg, I = 10; 22.81 deg, I = 3; 25.31 deg, I = 7; 31.72 deg, I = 100; 32.48 deg, I = 48; 40.39 deg, I = 3; 44.34 deg, I = 9; 46.60 deg, I = 18; 56.03 deg, I = 18; 57.47 deg, I = 37; 66.27 deg, I = 11; 68.02 deg, I = 6